Structure and calculated powder diffraction line list of Ce2ThCd2In2 (a crystal structure in Alexandria, relaxed with GGA-PBE; a wavelength of 1.5418 Å).

Peak list (10 most intense, 15° ≤ 2θ ≤ 90°, by angle)
2θ (°), I/Imax
26.74, 13
31.07, 100
33.53, 19
37.47, 76
49.45, 27
50.78, 12
54.97, 12
63.22, 13
63.65, 25
67.61, 18

Structure:
a = 9.7103 Å, b = 9.7103 Å, c = 9.7103 Å
α = 28.62°, β = 28.62°, γ = 28.62°
Atoms (fractional coordinates):
Ce: 0.1446 0.1446 0.1446
Ce: 0.8554 0.8554 0.8554
Th: 0.0000 0.0000 0.0000
Cd: 0.4159 0.4159 0.4159
Cd: 0.5841 0.5841 0.5841
In: 0.2679 0.2679 0.2679
In: 0.7321 0.7321 0.7321



Structure and calculated powder diffraction line list of Ce2YCd2In2 (a crystal structure in Alexandria, relaxed with GGA-PBE; a wavelength of 1.5418 Å).

Peak list (10 most intense, 15° ≤ 2θ ≤ 90°, by angle)
2θ (°), I/Imax
31.51, 100
34.07, 14
37.40, 82
49.69, 27
52.00, 10
63.81, 25
64.42, 14
67.46, 14
79.77, 9
88.27, 11

Structure:
a = 9.4690 Å, b = 9.4690 Å, c = 9.4690 Å
α = 29.42°, β = 29.42°, γ = 29.42°
Atoms (fractional coordinates):
Ce: 0.1435 0.1435 0.1435
Ce: 0.8565 0.8565 0.8565
Y: 0.0000 0.0000 0.0000
Cd: 0.4134 0.4134 0.4134
Cd: 0.5866 0.5866 0.5866
In: 0.2701 0.2701 0.2701
In: 0.7299 0.7299 0.7299



Structure and calculated powder diffraction line list of Ce8Cd2Ir3 (a crystal structure in Alexandria, relaxed with GGA-PBE; a wavelength of 1.5418 Å).

Peak list (10 most intense, 15° ≤ 2θ ≤ 90°, by angle)
2θ (°), I/Imax
23.42, 31
28.17, 39
30.18, 100
31.37, 94
36.20, 33
36.32, 37
36.91, 83
39.16, 53
43.20, 44
43.34, 29

Structure:
a = 7.8363 Å, b = 7.8363 Å, c = 8.1233 Å
α = 109.45°, β = 109.45°, γ = 50.87°
Atoms (fractional coordinates):
Ce: 0.1145 0.6789 0.6214
Ce: 0.1301 0.1301 0.0144
Ce: 0.3211 0.8855 0.3786
Ce: 0.3559 0.3559 0.1633
Ce: 0.6441 0.6441 0.8367
Ce: 0.6789 0.1145 0.6214
Ce: 0.8699 0.8699 0.9856
Ce: 0.8855 0.3211 0.3786
Cd: 0.2466 0.2466 0.7456
Cd: 0.7534 0.7534 0.2544
Ir: 0.3027 0.6973 0.0000
Ir: 0.5000 0.5000 0.5000
Ir: 0.6973 0.3027 0.0000



Structure and calculated powder diffraction line list of Ce2CdIr (a crystal structure in Alexandria, relaxed with GGA-PBE; a wavelength of 1.5418 Å).

Peak list (10 most intense, 15° ≤ 2θ ≤ 90°, by angle)
2θ (°), I/Imax
30.47, 25
34.12, 90
34.94, 76
36.31, 100
37.19, 24
41.17, 16
51.11, 30
59.90, 21
63.41, 27
64.92, 28

Structure:
a = 6.8577 Å, b = 3.5746 Å, c = 7.7509 Å
α = 90.00°, β = 90.00°, γ = 90.00°
Atoms (fractional coordinates):
Ce: 0.0351 0.0000 0.2118
Ce: 0.4649 0.0000 0.2118
Ce: 0.5351 0.0000 0.7882
Ce: 0.9649 0.0000 0.7882
Cd: 0.2500 0.5000 0.5276
Cd: 0.7500 0.5000 0.4724
Ir: 0.2500 0.5000 0.9346
Ir: 0.7500 0.5000 0.0654



Structure and calculated powder diffraction line list of CeNdCdIr (a crystal structure in Alexandria, relaxed with GGA-PBE; a wavelength of 1.5418 Å).

Peak list (10 most intense, 15° ≤ 2θ ≤ 90°, by angle)
2θ (°), I/Imax
21.02, 4
34.65, 100
40.88, 2
49.82, 18
54.64, 1
62.10, 37
66.34, 1
73.11, 11
77.06, 1
83.51, 16

Structure:
a = 5.1773 Å, b = 5.1773 Å, c = 5.1773 Å
α = 60.00°, β = 60.00°, γ = 60.00°
Atoms (fractional coordinates):
Ce: 0.0000 0.0000 0.0000
Nd: 0.5000 0.5000 0.5000
Cd: 0.7500 0.7500 0.7500
Ir: 0.2500 0.2500 0.2500



Structure and calculated powder diffraction line list of KCeCd17 (a crystal structure in Alexandria, relaxed with GGA-PBE; a wavelength of 1.5418 Å).

Peak list (10 most intense, 15° ≤ 2θ ≤ 90°, by angle)
2θ (°), I/Imax
30.29, 31
31.11, 26
35.12, 53
35.24, 100
35.61, 34
35.96, 31
39.54, 81
39.87, 23
63.01, 20
63.73, 21

Structure:
a = 7.7618 Å, b = 7.7618 Å, c = 7.7618 Å
α = 82.36°, β = 82.36°, γ = 82.36°
Atoms (fractional coordinates):
K: 0.0000 0.0000 0.0000
Ce: 0.6702 0.6702 0.6702
Cd: 0.0387 0.3394 0.6349
Cd: 0.0387 0.6349 0.3394
Cd: 0.1995 0.6880 0.6880
Cd: 0.2432 0.2432 0.2432
Cd: 0.3279 0.3279 0.8491
Cd: 0.3279 0.8491 0.3279
Cd: 0.3394 0.0387 0.6349
Cd: 0.3394 0.6349 0.0387
Cd: 0.4433 0.4433 0.4433
Cd: 0.5191 0.9702 0.9702
Cd: 0.6349 0.0387 0.3394
Cd: 0.6349 0.3394 0.0387
Cd: 0.6880 0.1995 0.6880
Cd: 0.6880 0.6880 0.1995
Cd: 0.8491 0.3279 0.3279
Cd: 0.9702 0.5191 0.9702
Cd: 0.9702 0.9702 0.5191



Structure and calculated powder diffraction line list of LaCeCd (a crystal structure in Alexandria, relaxed with GGA-PBE; a wavelength of 1.5418 Å).

Peak list (10 most intense, 15° ≤ 2θ ≤ 90°, by angle)
2θ (°), I/Imax
31.51, 33
31.69, 24
33.83, 100
35.51, 11
45.30, 18
51.74, 8
57.61, 21
57.83, 11
61.85, 9
71.17, 9

Structure:
a = 8.6531 Å, b = 8.6531 Å, c = 5.6783 Å
α = 90.00°, β = 90.00°, γ = 156.44°
Atoms (fractional coordinates):
La: 0.0743 0.9257 0.7500
La: 0.9257 0.0743 0.2500
Ce: 0.2632 0.7368 0.2500
Ce: 0.7368 0.2632 0.7500
Cd: 0.3973 0.6027 0.7500
Cd: 0.6027 0.3973 0.2500



Structure and calculated powder diffraction line list of La5CeCd3 (a crystal structure in Alexandria, relaxed with GGA-PBE; a wavelength of 1.5418 Å).

Peak list (10 most intense, 15° ≤ 2θ ≤ 90°, by angle)
2θ (°), I/Imax
31.26, 99
32.17, 100
45.47, 35
56.79, 35
57.36, 19
61.94, 30
67.31, 11
76.08, 15
80.60, 14
89.44, 11

Structure:
a = 9.6376 Å, b = 9.6376 Å, c = 7.1118 Å
α = 90.00°, β = 90.00°, γ = 120.00°
Atoms (fractional coordinates):
La: 0.0000 0.3247 0.2500
La: 0.0000 0.6753 0.7500
La: 0.3247 0.0000 0.2500
La: 0.3247 0.3247 0.7500
La: 0.3333 0.6667 0.0000
La: 0.3333 0.6667 0.5000
La: 0.6667 0.3333 0.0000
La: 0.6667 0.3333 0.5000
La: 0.6753 0.0000 0.7500
La: 0.6753 0.6753 0.2500
Ce: 0.0000 0.0000 0.0000
Ce: 0.0000 0.0000 0.5000
Cd: 0.0000 0.3380 0.7500
Cd: 0.0000 0.6620 0.2500
Cd: 0.3380 0.0000 0.7500
Cd: 0.3380 0.3380 0.2500
Cd: 0.6620 0.0000 0.2500
Cd: 0.6620 0.6620 0.7500